1.
Theoretical powder diffractogram
Compound: Tb2PrThHg4
Radiation: Cu Kα, 1.54184 Å
Structure: a structure optimized by DFT (GGA-PBE)

Structure:
Unit cell a=5.3670 b=5.3670 c=26.3318 alpha=90.00 beta=90.00 gamma=120.00
Space group R-3m (No. 166, hexagonal axes)
Symmetry-distinct sites (fractional):
Tb 0.0000 0.0000 0.2490
Pr 0.0000 0.0000 0.0000
Th 0.0000 0.0000 0.5000
Hg 0.0000 0.0000 0.1248
Hg 0.0000 0.0000 0.3751

Peak list (9 most intense, 2θ = 15–90°, by angle)
two_theta  I (rel.)  (hkl)
19.39  1  1 0 1
23.43  1  1 0 4
33.37  100  1 1 0
47.92  18  2 0 8
59.65  39  3 0 0
70.10  12  2 2 0
79.89  17  3 1 8
89.28  1  0 0 24
89.43  3  0 4 8


2.
Theoretical powder diffractogram
Compound: Re13Tc3
Radiation: Cu Kα, 1.54184 Å
Structure: a structure optimized by DFT (GGA-PBE)

Structure:
Unit cell a=5.5418 b=8.9440 c=9.6127 alpha=90.00 beta=90.00 gamma=90.00
Space group Amm2 (No. 38)
Symmetry-distinct sites (fractional):
Re 0.0000 0.0000 0.0002
Re 0.0000 0.0000 0.4994
Re 0.0000 0.2494 0.1666
Re 0.2502 0.2487 0.4165
Re 0.2509 0.0000 0.7500
Re 0.5000 0.0000 0.0000
Re 0.5000 0.2496 0.1667
Tc 0.2495 0.0000 0.2491
Tc 0.5000 0.0000 0.5001

Peak list (10 most intense, 2θ = 15–90°, by angle)
two_theta  I (rel.)  (hkl)
37.45  25  0 0 4
40.34  26  0 4 0
42.74  100  2 2 2
56.21  15  0 4 4
67.56  17  4 0 0
74.99  19  2 6 2
81.73  21  4 4 0
83.26  5  0 2 8
83.37  10  4 2 4
87.19  3  0 8 0


3.
Theoretical powder diffractogram
Compound: Al2InBr
Radiation: Cu Kα, 1.54184 Å
Structure: a structure optimized by DFT (GGA-PBE)

Structure:
Unit cell a=3.4137 b=5.7435 c=9.9954 alpha=90.00 beta=90.00 gamma=90.00
Space group Cmm2 (No. 35)
Symmetry-distinct sites (fractional):
Al 0.0000 0.0000 0.0000
Al 0.0000 0.5000 0.2098
In 0.0000 0.5000 0.7533
Br 0.0000 0.0000 0.4005

Peak list (10 most intense, 2θ = 15–90°, by angle)
two_theta  I (rel.)  (hkl)
17.75  39  0 0 2
26.76  37  0 0 3
31.14  51  0 2 0
31.78  65  1 1 1
35.47  100  1 1 2
36.07  13  0 2 2
41.51  22  0 2 3
47.81  28  1 1 4
58.26  23  1 3 2
63.39  13  2 2 0


4.
Theoretical powder diffractogram
Compound: Hg4AsCl3
Radiation: Cu Kα, 1.54184 Å
Structure: a structure optimized by DFT (GGA-PBE)

Structure:
Unit cell a=10.9233 b=7.3627 c=7.6822 alpha=90.00 beta=90.00 gamma=90.00
Space group Pmn2_1 (No. 31)
Symmetry-distinct sites (fractional):
Hg 0.0000 0.0889 0.0000
Hg 0.0000 0.8717 0.4247
Hg 0.1637 0.2919 0.3675
As 0.0000 0.1773 0.5743
Cl 0.0000 0.6194 0.2223
Cl 0.1744 0.6314 0.6688

Peak list (10 most intense, 2θ = 15–90°, by angle)
two_theta  I (rel.)  (hkl)
16.68  34  0 1 1
20.24  70  2 1 0
23.16  39  0 0 2
23.35  100  2 1 1
26.85  58  0 2 1
28.09  33  1 2 1
34.73  36  1 2 2
36.10  95  3 1 2
37.01  37  4 1 1
50.11  38  6 0 0


5.
Theoretical powder diffractogram
Compound: AgTeSe2Cl
Radiation: Cu Kα, 1.54184 Å
Structure: a structure optimized by DFT (GGA-PBE)

Structure:
Unit cell a=7.1453 b=4.1030 c=11.0587 alpha=90.00 beta=102.14 gamma=90.00
Space group P2_1/m (No. 11)
Symmetry-distinct sites (fractional):
Ag 0.0920 0.2500 0.3568
Te 0.3898 0.2500 0.8217
Se 0.1271 0.2500 0.6199
Se 0.2414 0.7500 0.9310
Cl 0.4053 0.2500 0.2877

Peak list (10 most intense, 2θ = 15–90°, by angle)
two_theta  I (rel.)  (hkl)
22.82  61  1 0 2
25.17  43  1 1 0
25.65  100  1 1 -1
28.65  55  1 1 -2
30.20  58  1 0 3
33.37  47  2 1 -1
38.73  71  2 1 -3
39.94  54  0 1 4
44.15  45  0 2 0
44.75  70  3 1 0